[1]
Calculated powder diffractogram
Compound: RbMo2AsI
Radiation: Cu Kα (weighted mean of Kα1 and Kα2)
Structure: the PBE geometry in Alexandria

Structural model:
Cell lengths 6.8677, 6.8677, 6.3969 Å; angles 90.00, 90.00, 90.00 degrees
Fractional coordinates of all 5 atoms:
Rb (0.0000, 0.0000, 0.0000)
Mo (0.0000, 0.5000, 0.0000)
Mo (0.5000, 0.0000, 0.0000)
As (0.5000, 0.5000, 0.5000)
I (0.0000, 0.0000, 0.5000)

Most intense lines, 2θ from 5° to 70°, sorted by position:
12.89 deg, I = 34.9; 22.99 deg, I = 100.0; 25.95 deg, I = 89.3; 27.89 deg, I = 37.1; 37.02 deg, I = 34.5; 38.46 deg, I = 61.9; 44.03 deg, I = 34.6; 46.98 deg, I = 34.4; 60.27 deg, I = 16.1; 67.68 deg, I = 22.7


[2]
Calculated powder diffractogram
Compound: PrPuTl
Radiation: Cu Kα (weighted mean of Kα1 and Kα2)
Structure: the PBE geometry in Alexandria

Structural model:
Cell lengths 6.9368, 6.9368, 6.9368 Å; angles 148.39, 148.39, 45.30 degrees
Fractional coordinates of all 3 atoms:
Pr (0.0000, 0.0000, 0.0000)
Pu (0.3146, 0.3146, 0.0000)
Tl (0.6624, 0.6624, 0.0000)

Most intense lines, 2θ from 5° to 70°, sorted by position:
13.83 deg, I = 6.1; 24.57 deg, I = 2.8; 31.63 deg, I = 100.0; 33.54 deg, I = 43.9; 42.36 deg, I = 10.6; 42.65 deg, I = 3.8; 48.17 deg, I = 16.2; 55.08 deg, I = 19.9; 58.78 deg, I = 35.3; 66.05 deg, I = 11.6


[3]
Calculated powder diffractogram
Compound: La9DyTl2
Radiation: Cu Kα (weighted mean of Kα1 and Kα2)
Structure: the PBE geometry in Alexandria

Structural model:
Cell lengths 5.0958, 5.0958, 15.5303 Å; angles 90.00, 90.00, 90.00 degrees
Fractional coordinates of all 12 atoms:
La (0.0000, 0.0000, 0.0000)
La (0.0000, 0.0000, 0.3362)
La (0.0000, 0.0000, 0.6638)
La (0.0000, 0.5000, 0.1711)
La (0.0000, 0.5000, 0.5000)
La (0.0000, 0.5000, 0.8289)
La (0.5000, 0.0000, 0.1711)
La (0.5000, 0.0000, 0.5000)
La (0.5000, 0.0000, 0.8289)
Dy (0.5000, 0.5000, 0.0000)
Tl (0.5000, 0.5000, 0.3375)
Tl (0.5000, 0.5000, 0.6625)

Most intense lines, 2θ from 5° to 70°, sorted by position:
5.69 deg, I = 1.3; 17.40 deg, I = 1.2; 30.22 deg, I = 100.0; 34.66 deg, I = 17.2; 35.22 deg, I = 33.4; 50.25 deg, I = 24.1; 50.67 deg, I = 11.9; 59.38 deg, I = 14.3; 60.14 deg, I = 28.4; 62.85 deg, I = 12.3


[4]
Calculated powder diffractogram
Compound: Sc2Ge3Pd2
Radiation: Cu Kα (weighted mean of Kα1 and Kα2)
Structure: the PBE geometry in Alexandria

Structural model:
Cell lengths 9.1313, 9.1313, 6.9757 Å; angles 90.00, 90.00, 154.45 degrees
Fractional coordinates of all 14 atoms:
Sc (0.0526, 0.9474, 0.7500)
Sc (0.1538, 0.8462, 0.2500)
Sc (0.8462, 0.1538, 0.7500)
Sc (0.9474, 0.0526, 0.2500)
Ge (0.2239, 0.7761, 0.7500)
Ge (0.4372, 0.5628, 0.5671)
Ge (0.4372, 0.5628, 0.9329)
Ge (0.5628, 0.4372, 0.0671)
Ge (0.5628, 0.4372, 0.4329)
Ge (0.7761, 0.2239, 0.2500)
Pd (0.3065, 0.6935, 0.0469)
Pd (0.3065, 0.6935, 0.4531)
Pd (0.6935, 0.3065, 0.5469)
Pd (0.6935, 0.3065, 0.9531)

Most intense lines, 2θ from 5° to 70°, sorted by position:
9.93 deg, I = 100.0; 22.58 deg, I = 46.2; 34.35 deg, I = 98.8; 36.00 deg, I = 68.9; 37.28 deg, I = 43.1; 42.63 deg, I = 42.7; 43.93 deg, I = 51.6; 44.90 deg, I = 58.6; 47.66 deg, I = 45.5; 49.78 deg, I = 44.5


[5]
Calculated powder diffractogram
Compound: Ca2Ac5
Radiation: Cu Kα (weighted mean of Kα1 and Kα2)
Structure: the PBE geometry in Alexandria

Structural model:
Cell lengths 19.7293, 19.7293, 19.7293 Å; angles 168.39, 168.39, 16.44 degrees
Fractional coordinates of all 7 atoms:
Ca (0.2155, 0.2155, 0.0000)
Ca (0.7845, 0.7845, 0.0000)
Ac (0.0732, 0.0732, 0.0000)
Ac (0.3567, 0.3567, 0.0000)
Ac (0.5000, 0.5000, 0.0000)
Ac (0.6433, 0.6433, 0.0000)
Ac (0.9268, 0.9268, 0.0000)

Most intense lines, 2θ from 5° to 70°, sorted by position:
9.06 deg, I = 11.0; 25.06 deg, I = 10.3; 27.48 deg, I = 100.0; 31.71 deg, I = 33.9; 32.08 deg, I = 20.8; 45.46 deg, I = 12.7; 45.74 deg, I = 26.6; 53.94 deg, I = 32.6; 54.43 deg, I = 14.8; 56.73 deg, I = 13.2


[6]
Calculated powder diffractogram
Compound: K2US3F3
Radiation: Cu Kα (weighted mean of Kα1 and Kα2)
Structure: the PBE geometry in Alexandria

Structural model:
Cell lengths 7.8121, 7.8121, 3.7661 Å; angles 90.00, 90.00, 120.00 degrees
Fractional coordinates of all 9 atoms:
K (0.3333, 0.6667, 0.0000)
K (0.6667, 0.3333, 0.0000)
U (0.0000, 0.0000, 0.5000)
S (0.0000, 0.6684, 0.5000)
S (0.3316, 0.3316, 0.5000)
S (0.6684, 0.0000, 0.5000)
F (0.0000, 0.1872, 0.0000)
F (0.1872, 0.0000, 0.0000)
F (0.8128, 0.8128, 0.0000)

Most intense lines, 2θ from 5° to 70°, sorted by position:
13.09 deg, I = 100.0; 22.77 deg, I = 42.5; 26.35 deg, I = 12.5; 27.10 deg, I = 41.7; 35.09 deg, I = 11.0; 35.68 deg, I = 28.7; 39.98 deg, I = 20.8; 42.74 deg, I = 39.6; 46.96 deg, I = 12.0; 54.65 deg, I = 17.6